1.
Simulated XRD peak list
Compound: Na2HoPWO8
Radiation: λ = 1.5418 Å (Cu Kα)
Structure: a DFT-relaxed cell (GGA+U, the Materials Project)
Intensities are scaled so that the largest is 1000.

Structure:
```
52
Lattice="-3.466 6.116 9.129 3.466 -6.116 9.129 3.466 6.116 -9.129" Properties=species:S:1:pos:R:3 pbc="T T T"
Na 3.540 -0.731 2.794
Na 0.074 0.731 2.794
Na 3.540 5.386 -2.794
Na 3.540 0.731 6.335
Na -0.074 5.386 2.794
Na -0.074 0.731 11.924
Na 3.392 5.386 6.335
Na -0.074 6.847 6.335
Ho 5.199 2.169 0.000
Ho 1.733 3.947 0.000
Ho 1.733 2.169 9.129
Ho -1.733 3.947 9.129
P 1.733 0.851 0.000
P 1.733 -0.851 9.129
P 1.733 6.968 0.000
P 1.733 5.265 9.129
W 3.466 -3.058 5.886
W 3.466 3.058 3.244
W 0.000 3.058 5.886
W 0.000 9.175 3.244
O 1.837 -0.076 1.237
O 5.303 0.076 1.237
O 3.157 4.525 -4.878
O 1.999 -3.377 6.936
O 3.157 -1.592 4.878
O 2.944 1.823 -0.150
O 1.466 3.377 -2.193
O 0.522 1.823 0.150
O 3.988 4.293 -0.150
O 4.932 2.739 2.193
O 2.944 -1.823 9.280
O 3.157 1.592 4.251
O 1.999 3.377 2.193
O -0.309 1.592 4.878
O 1.837 6.040 -1.237
O 1.837 0.076 7.893
O 1.628 6.040 1.237
O 1.628 0.076 10.366
O 3.775 4.525 4.251
O 1.466 2.739 6.936
O 0.309 4.525 4.878
O 0.522 7.940 -0.150
O -1.466 3.377 6.936
O -0.522 1.823 9.280
O 2.944 4.293 8.979
O 1.999 2.739 11.323
O 0.522 4.293 9.280
O 0.309 7.708 4.251
O 1.466 9.494 2.193
O 0.309 1.592 14.008
O -1.837 6.040 7.893
O 1.628 6.193 7.893
```

Top 8 peaks for 10 to 90 degrees two-theta, in order of rising 2θ:
2theta, Rel. int.
14.48, 956
17.63, 853
24.46, 671
27.19, 581
27.53, 1000
29.35, 465
32.14, 390
32.39, 574

2.
Simulated XRD peak list
Compound: Na4Fe10O15
Radiation: λ = 1.5418 Å (Cu Kα)
Structure: a DFT-relaxed cell (GGA+U, the Materials Project)
Intensities are scaled so that the largest is 1000.

Structure:
```
29
Lattice="5.323 0.000 0.000 -2.631 7.709 0.000 -0.012 -3.019 8.002" Properties=species:S:1:pos:R:3 pbc="T T T"
Na -0.007 -0.060 3.985
Na 0.036 3.171 3.994
Na 2.643 1.519 4.008
Na 2.686 4.749 4.017
Fe -0.831 1.594 6.665
Fe -1.715 6.204 1.340
Fe 0.888 1.550 1.293
Fe -0.859 4.684 6.632
Fe 0.860 4.665 1.394
Fe 1.819 0.025 6.609
Fe 3.538 0.006 1.370
Fe 1.791 3.140 6.709
Fe 4.394 -1.515 6.662
Fe 3.510 3.095 1.337
O 0.000 0.000 0.000
O -1.654 3.132 5.677
O -0.865 4.511 2.295
O 0.028 3.199 0.025
O 0.932 -1.502 5.699
O 0.853 1.474 5.633
O 0.002 6.142 0.022
O 1.817 0.083 2.333
O 0.862 4.607 5.670
O 2.677 -1.453 7.980
O 1.826 3.216 2.370
O 1.747 6.191 2.303
O 2.651 1.491 7.978
O 3.544 0.178 5.707
O 4.333 1.557 2.326
```

Top 8 peaks for 10 to 90 degrees two-theta, in order of rising 2θ:
2theta, Rel. int.
11.06, 1000
22.22, 268
33.59, 331
35.47, 409
35.55, 263
40.46, 571
40.71, 578
40.83, 552

3.
Simulated XRD peak list
Compound: SrNdMgWO6
Radiation: λ = 1.5418 Å (Cu Kα)
Structure: a DFT-relaxed cell (GGA+U, the Materials Project)
Intensities are scaled so that the largest is 1000.

Structure:
```
10
Lattice="0.000 3.995 3.995 3.995 0.000 3.995 3.995 3.995 0.000" Properties=species:S:1:pos:R:3 pbc="T T T"
Sr 0.000 0.000 0.000
Nd 3.995 3.995 3.995
Mg 1.997 1.997 1.997
W 5.992 5.992 5.992
O 5.992 5.992 4.016
O 5.992 4.016 5.992
O 7.969 5.992 5.992
O 4.016 5.992 5.992
O 5.992 7.969 5.992
O 5.992 5.992 7.969
```

Top 8 peaks for 10 to 90 degrees two-theta, in order of rising 2θ:
2theta, Rel. int.
19.24, 376
31.67, 1000
37.33, 212
45.41, 317
49.74, 93
56.42, 402
66.16, 194
75.21, 175

4.
Simulated XRD peak list
Compound: KCoO2
Radiation: λ = 1.5418 Å (Cu Kα)
Structure: a DFT-relaxed cell (GGA+U, the Materials Project)
Intensities are scaled so that the largest is 1000.

Structure:
```
8
Lattice="3.249 0.000 0.000 -1.610 6.278 0.000 -1.613 -2.494 6.258" Properties=species:S:1:pos:R:3 pbc="T T T"
K -0.808 1.590 1.469
K 0.835 2.195 4.789
Co -0.794 4.869 1.807
Co 0.821 -1.084 4.451
O -0.802 -0.987 5.338
O -0.792 3.671 3.290
O 0.819 0.114 2.969
O 0.829 4.772 0.920
```

Top 8 peaks for 10 to 90 degrees two-theta, in order of rising 2θ:
2theta, Rel. int.
15.19, 351
16.50, 177
28.56, 1000
28.70, 568
34.06, 237
34.99, 236
38.58, 315
42.97, 231

5.
Simulated XRD peak list
Compound: Li9Mn2Co5O16
Radiation: λ = 1.5418 Å (Cu Kα)
Structure: a DFT-relaxed cell (GGA+U, the Materials Project)
Intensities are scaled so that the largest is 1000.

Structure:
```
32
Lattice="4.986 0.000 0.000 0.121 5.933 0.000 1.870 0.236 9.631" Properties=species:S:1:pos:R:3 pbc="T T T"
Li 0.000 0.000 0.000
Li 1.663 0.083 2.354
Li 2.676 1.633 7.266
Li 2.739 4.657 7.250
Li 1.780 2.998 2.370
Li 5.196 3.171 7.262
Li 4.238 1.512 2.381
Li 4.301 4.536 2.366
Li 5.314 6.086 7.278
Mn 0.061 2.967 0.000
Mn 3.428 0.118 4.816
Co 1.029 4.548 4.807
Co 4.393 1.673 9.629
Co 3.488 3.085 4.816
Co 2.583 4.496 0.003
Co 5.947 1.621 4.824
O 0.916 1.595 1.071
O 1.956 6.049 5.955
O 0.990 4.345 1.042
O 1.917 3.070 5.910
O 2.544 1.479 3.691
O 2.605 4.393 3.694
O 3.544 3.088 8.574
O 3.759 6.081 8.552
O 3.217 0.088 1.080
O 3.433 3.081 1.057
O 4.372 1.776 5.938
O 4.433 4.690 5.941
O 5.059 3.099 3.721
O 5.987 1.824 8.590
O 5.020 0.120 3.677
O 6.061 4.574 8.560
```

Top 8 peaks for 10 to 90 degrees two-theta, in order of rising 2θ:
2theta, Rel. int.
18.42, 1000
35.26, 166
36.15, 128
36.73, 118
42.50, 305
43.94, 268
44.61, 257
62.94, 152

6.
Simulated XRD peak list
Compound: Li3MnFe2B3O9
Radiation: λ = 1.5418 Å (Cu Kα)
Structure: a DFT-relaxed cell (GGA+U, the Materials Project)
Intensities are scaled so that the largest is 1000.

Structure:
```
36
Lattice="8.262 0.000 0.000 0.000 6.288 0.000 -4.130 0.000 7.162" Properties=species:S:1:pos:R:3 pbc="T T T"
Li 0.000 1.566 0.000
Li 0.000 4.722 0.000
Li -0.389 1.580 5.235
Li -0.389 4.708 5.235
Li 4.343 1.570 2.961
Li 4.343 4.718 2.961
Mn 2.753 3.144 0.630
Mn 2.414 0.000 5.034
Fe -1.263 0.000 2.548
Fe -1.261 3.144 2.543
Fe 2.770 0.000 0.579
Fe 2.453 3.144 5.073
B -2.804 3.144 5.097
B -2.807 0.000 5.133
B 1.307 1.572 2.730
B 1.307 4.716 2.730
B 5.449 1.572 0.358
B 5.449 4.716 0.358
O -1.554 3.144 5.693
O -1.540 0.000 5.730
O 0.036 1.574 3.304
O 0.036 4.714 3.304
O 1.444 1.552 1.346
O 1.444 4.736 1.346
O 2.441 1.590 3.541
O 2.441 4.698 3.541
O 4.205 1.546 0.973
O 4.205 4.742 0.973
O 1.408 1.599 6.134
O 1.408 4.689 6.134
O 6.609 1.570 1.129
O 6.609 4.717 1.129
O 5.339 3.144 3.711
O 5.353 0.000 3.746
O 4.301 3.144 5.891
O 4.317 0.000 5.927
```

Top 8 peaks for 10 to 90 degrees two-theta, in order of rising 2θ:
2theta, Rel. int.
21.50, 1000
31.07, 159
33.11, 154
35.89, 783
37.70, 318
47.86, 275
53.03, 245
54.68, 175

Please write out number 1 again, unchanged.
Simulated XRD peak list
Compound: Na2HoPWO8
Radiation: λ = 1.5418 Å (Cu Kα)
Structure: a DFT-relaxed cell (GGA+U, the Materials Project)
Intensities are scaled so that the largest is 1000.

Structure:
```
52
Lattice="-3.466 6.116 9.129 3.466 -6.116 9.129 3.466 6.116 -9.129" Properties=species:S:1:pos:R:3 pbc="T T T"
Na 3.540 -0.731 2.794
Na 0.074 0.731 2.794
Na 3.540 5.386 -2.794
Na 3.540 0.731 6.335
Na -0.074 5.386 2.794
Na -0.074 0.731 11.924
Na 3.392 5.386 6.335
Na -0.074 6.847 6.335
Ho 5.199 2.169 0.000
Ho 1.733 3.947 0.000
Ho 1.733 2.169 9.129
Ho -1.733 3.947 9.129
P 1.733 0.851 0.000
P 1.733 -0.851 9.129
P 1.733 6.968 0.000
P 1.733 5.265 9.129
W 3.466 -3.058 5.886
W 3.466 3.058 3.244
W 0.000 3.058 5.886
W 0.000 9.175 3.244
O 1.837 -0.076 1.237
O 5.303 0.076 1.237
O 3.157 4.525 -4.878
O 1.999 -3.377 6.936
O 3.157 -1.592 4.878
O 2.944 1.823 -0.150
O 1.466 3.377 -2.193
O 0.522 1.823 0.150
O 3.988 4.293 -0.150
O 4.932 2.739 2.193
O 2.944 -1.823 9.280
O 3.157 1.592 4.251
O 1.999 3.377 2.193
O -0.309 1.592 4.878
O 1.837 6.040 -1.237
O 1.837 0.076 7.893
O 1.628 6.040 1.237
O 1.628 0.076 10.366
O 3.775 4.525 4.251
O 1.466 2.739 6.936
O 0.309 4.525 4.878
O 0.522 7.940 -0.150
O -1.466 3.377 6.936
O -0.522 1.823 9.280
O 2.944 4.293 8.979
O 1.999 2.739 11.323
O 0.522 4.293 9.280
O 0.309 7.708 4.251
O 1.466 9.494 2.193
O 0.309 1.592 14.008
O -1.837 6.040 7.893
O 1.628 6.193 7.893
```

Top 8 peaks for 10 to 90 degrees two-theta, in order of rising 2θ:
2theta, Rel. int.
14.48, 956
17.63, 853
24.46, 671
27.19, 581
27.53, 1000
29.35, 465
32.14, 390
32.39, 574